# 1
Calculated powder diffraction line list of Tc2WAu for Cu Kα X-rays, from a DFT-relaxed cell (GGA-PBE, Alexandria).

Top 10 peaks for 15 to 90 degrees two-theta, in order of falling intensity:
| 2θ/deg | d_spacing | intensity |
| --- | --- | --- |
| 39.1 | 2.303 | 100.0 |
| 46.0 | 1.975 | 32.0 |
| 80.4 | 1.194 | 24.8 |
| 65.9 | 1.417 | 20.7 |
| 44.5 | 2.036 | 16.7 |
| 78.3 | 1.221 | 12.0 |
| 84.1 | 1.151 | 10.8 |
| 67.0 | 1.396 | 10.4 |
| 21.8 | 4.072 | 10.3 |
| 32.1 | 2.793 | 8.0 |

Structure:
```
Tc2WAu
1.0
2.7925 0.0000 0.0000
0.0000 2.7925 0.0000
0.0000 0.0000 8.1436
Tc W Au
2 1 1
direct
0.0000 0.0000 0.2346 Tc
0.0000 0.0000 0.7654 Tc
0.5000 0.5000 0.0000 W
0.5000 0.5000 0.5000 Au
```

# 2
Calculated powder diffraction line list of Tb3Tl3Ag2 for Cu Kα X-rays, from a DFT-relaxed cell (GGA-PBE, Alexandria).

Top 10 peaks for 15 to 90 degrees two-theta, in order of falling intensity:
| 2θ/deg | d_spacing | intensity |
| --- | --- | --- |
| 32.7 | 2.740 | 100.0 |
| 34.6 | 2.594 | 72.9 |
| 35.3 | 2.544 | 42.6 |
| 60.5 | 1.531 | 29.5 |
| 42.2 | 2.141 | 22.4 |
| 39.4 | 2.287 | 22.0 |
| 64.0 | 1.454 | 22.0 |
| 53.9 | 1.701 | 16.7 |
| 48.0 | 1.897 | 16.3 |
| 67.2 | 1.393 | 13.2 |

Structure:
```
Tb3Tl3Ag2
1.0
7.9234 0.0000 0.0000
-3.9617 6.8619 0.0000
0.0000 0.0000 3.7931
Tb Tl Ag
3 3 2
direct
0.0000 0.3971 0.0000 Tb
0.3971 0.0000 0.0000 Tb
0.6029 0.6029 0.0000 Tb
0.0000 0.7552 0.5000 Tl
0.2448 0.2448 0.5000 Tl
0.7552 0.0000 0.5000 Tl
0.3333 0.6667 0.5000 Ag
0.6667 0.3333 0.5000 Ag
```

# 3
Calculated powder diffraction line list of NiRu2Rh3 for Cu Kα X-rays, from a DFT-relaxed cell (GGA-PBE, Alexandria).

Top 10 peaks for 15 to 90 degrees two-theta, in order of falling intensity:
| 2θ/deg | d_spacing | intensity |
| --- | --- | --- |
| 43.6 | 2.078 | 100.0 |
| 43.9 | 2.063 | 88.5 |
| 40.4 | 2.232 | 41.2 |
| 40.2 | 2.246 | 40.3 |
| 37.0 | 2.430 | 25.1 |
| 40.8 | 2.214 | 17.5 |
| 40.9 | 2.205 | 16.6 |
| 68.6 | 1.368 | 15.0 |
| 40.7 | 2.219 | 13.6 |
| 68.4 | 1.371 | 10.9 |

Structure:
```
NiRu2Rh3
1.0
6.3858 0.0000 0.0000
0.0000 2.7367 0.0000
-0.0578 0.0000 9.4208
Ni Ru Rh
2 4 6
direct
0.2017 0.2500 0.2484 Ni
0.7983 0.7500 0.7516 Ni
0.0731 0.2500 0.6097 Ru
0.3456 0.7500 0.0446 Ru
0.6544 0.2500 0.9554 Ru
0.9269 0.7500 0.3903 Ru
0.0778 0.2500 0.8884 Rh
0.3400 0.7500 0.4538 Rh
0.3941 0.7500 0.7527 Rh
0.6059 0.2500 0.2473 Rh
0.6600 0.2500 0.5462 Rh
0.9222 0.7500 0.1116 Rh
```